This entry pairs a crystal structure of Ga4CoCu with its calculated X-ray powder pattern. Radiation: λ = 1.5418 Å (Cu Kα). Structure: a DFT-relaxed cell (PBE, Alexandria).
Peak positions follow from Bragg's law for the DFT cell and can differ from measured ones.

Structural model:
Cell lengths 5.7852, 5.7852, 11.4263 Å; angles 90.00, 90.00, 90.00 degrees
Space group I4_1/amd (No. 141, origin choice 2)
Asymmetric unit:
1 Ga 0.2361 0.0000 0.0000
2 Co 0.0000 0.2500 0.8750
3 Cu 0.0000 0.2500 0.3750

The 10 most intense peaks (10° ≤ 2θ ≤ 90°), by angle:
| 2θ/deg | Rel. int. |
| --- | --- |
| 26.8 | 40 |
| 30.9 | 20 |
| 31.3 | 10 |
| 44.3 | 50 |
| 44.6 | 100 |
| 52.5 | 11 |
| 64.4 | 15 |
| 65.3 | 8 |
| 81.7 | 30 |
| 82.3 | 15 |